Starting from the PBE geometry in the Materials Project, the powder diffractogram of Mg2Ni was calculated for a wavelength of 1.5418 Å.

The 8 most intense peaks (15 to 90 degrees two-theta), by angle:
2θ 25.14, rel. 826, (1 1 1); 2θ 29.11, rel. 19, (2 0 0); 2θ 41.63, rel. 1000, (2 2 0); 2θ 49.26, rel. 372, (3 1 1); 2θ 60.34, rel. 156, (4 0 0); 2θ 66.42, rel. 141, (3 3 1); 2θ 75.98, rel. 299, (4 2 2); 2θ 81.52, rel. 101, (5 1 1)

Crystal structure
Unit cell a=6.1356 b=6.1356 c=6.1356 alpha=90.00 beta=90.00 gamma=90.00
Space group Fm-3m (No. 225)
Unique sites:
Mg (0.2500, 0.2500, 0.2500)
Ni (0.0000, 0.0000, 0.0000)

***

Starting from the PBE geometry in the Materials Project, the powder diffractogram of MgNi3 was calculated for a wavelength of 1.5418 Å.

The 10 most intense peaks (15 to 90 degrees two-theta), by angle:
2θ 24.44, rel. 111, (1 0 0); 2θ 34.83, rel. 88, (1 1 0); 2θ 43.01, rel. 1000, (1 1 1); 2θ 50.08, rel. 468, (2 0 0); 2θ 56.49, rel. 40, (2 1 0); 2θ 62.45, rel. 28, (2 1 1); 2θ 73.54, rel. 271, (2 2 0); 2θ 78.83, rel. 17, (3 0 0); 2θ 84.02, rel. 12, (3 1 0); 2θ 89.16, rel. 321, (3 1 1)

Crystal structure
Unit cell a=3.6427 b=3.6427 c=3.6427 alpha=90.00 beta=90.00 gamma=90.00
Space group Pm-3m (No. 221)
Unique sites:
Mg (0.0000, 0.0000, 0.0000)
Ni (0.0000, 0.5000, 0.5000)

***

Starting from the PBE geometry in the Materials Project, the powder diffractogram of MgNi was calculated for a wavelength of 1.5418 Å.

The 10 most intense peaks (15 to 90 degrees two-theta), by angle:
2θ 28.79, rel. 133, (0 1 0); 2θ 29.62, rel. 246, (1 0 1); 2θ 41.78, rel. 1000, (1 1 1); 2θ 42.31, rel. 241, (2 0 0); 2θ 42.46, rel. 237, (0 0 2); 2θ 59.64, rel. 82, (0 2 0); 2θ 61.49, rel. 147, (2 0 2); 2θ 75.81, rel. 76, (2 2 0); 2θ 77.01, rel. 145, (3 1 1); 2θ 77.22, rel. 141, (1 1 3)

Crystal structure
Unit cell a=4.2728 b=3.1007 c=4.2578 alpha=90.00 beta=90.00 gamma=90.00
Space group Pmma (No. 51)
Unique sites:
Mg (0.2500, 0.0000, 0.2449)
Ni (0.2500, 0.5000, 0.7425)

***

Starting from the PBE geometry in the Materials Project, the powder diffractogram of MgNi2 was calculated for a wavelength of 1.5418 Å.

The 10 most intense peaks (15 to 90 degrees two-theta), by angle:
2θ 22.62, rel. 644, (1 1 1); 2θ 37.35, rel. 78, (2 2 0); 2θ 44.11, rel. 1000, (3 1 1); 2θ 46.18, rel. 707, (2 2 2); 2θ 53.86, rel. 209, (4 0 0); 2θ 59.14, rel. 123, (3 3 1); 2θ 67.37, rel. 25, (4 2 2); 2θ 72.07, rel. 277, (5 1 1); 2θ 79.65, rel. 270, (4 4 0); 2θ 84.10, rel. 84, (5 3 1)

Crystal structure
Unit cell a=6.8092 b=6.8092 c=6.8092 alpha=90.00 beta=90.00 gamma=90.00
Space group Fd-3m (No. 227, origin choice 2)
Unique sites:
Mg (0.1250, 0.1250, 0.1250)
Ni (0.0000, 0.0000, 0.5000)

***

Starting from the PBE geometry in the Materials Project, the powder diffractogram of Mg2Ni was calculated for a wavelength of 1.5418 Å.

The 10 most intense peaks (15 to 90 degrees two-theta), by angle:
2θ 19.73, rel. 169, (1 0 0); 2θ 20.27, rel. 491, (0 0 3); 2θ 20.87, rel. 283, (1 0 1); 2θ 23.97, rel. 155, (1 0 2); 2θ 37.22, rel. 347, (1 1 2); 2θ 39.72, rel. 354, (1 0 5); 2θ 40.09, rel. 511, (2 0 0); 2θ 41.22, rel. 174, (0 0 6); 2θ 45.32, rel. 1000, (2 0 3); 2θ 72.83, rel. 174, (2 2 0)

Crystal structure
Unit cell a=5.1947 b=5.1947 c=13.1408 alpha=90.00 beta=90.00 gamma=120.00
Space group P6_222 (No. 180)
Unique sites:
Mg (0.0000, 0.5000, 0.0510)
Mg (0.1648, 0.3295, 0.5000)
Ni (0.0000, 0.0000, 0.0000)
Ni (0.0000, 0.5000, 0.6667)

***

Starting from the PBE geometry in the Materials Project, the powder diffractogram of Mg2Ni was calculated for a wavelength of 1.5418 Å.

The 10 most intense peaks (15 to 90 degrees two-theta), by angle:
2θ 20.19, rel. 1000, (1 1 0); 2θ 28.70, rel. 161, (2 0 0); 2θ 36.49, rel. 388, (2 1 1); 2θ 39.75, rel. 639, (1 1 2); 2θ 41.04, rel. 360, (2 2 0); 2θ 44.98, rel. 719, (2 0 2); 2θ 46.15, rel. 552, (3 1 0); 2θ 73.90, rel. 211, (3 3 2); 2θ 88.19, rel. 132, (5 1 2); 2θ 89.20, rel. 146, (3 1 4)

Crystal structure
Unit cell a=6.2203 b=6.2203 c=5.2930 alpha=90.00 beta=90.00 gamma=90.00
Space group I4/mcm (No. 140)
Unique sites:
Mg (0.1765, 0.3235, 0.0000)
Ni (0.0000, 0.0000, 0.2500)

***

Starting from the PBE geometry in the Materials Project, the powder diffractogram of Mg7Ni was calculated for a wavelength of 1.5418 Å.

The 10 most intense peaks (15 to 90 degrees two-theta), by angle:
2θ 16.62, rel. 174, (1 0 0); 2θ 24.64, rel. 89, (1 0 1); 2θ 33.60, rel. 261, (2 0 0); 2θ 36.59, rel. 254, (0 0 2); 2θ 38.40, rel. 1000, (2 0 1); 2θ 50.52, rel. 156, (2 0 2); 2θ 60.08, rel. 165, (2 2 0); 2θ 67.08, rel. 177, (2 0 3); 2θ 72.44, rel. 181, (2 2 2); 2θ 73.59, rel. 130, (4 0 1)

Crystal structure
Unit cell a=6.1601 b=6.1601 c=4.9113 alpha=90.00 beta=90.00 gamma=120.00
Space group P-6m2 (No. 187)
Unique sites:
Mg (0.0000, 0.0000, 0.0000)
Mg (0.0150, 0.5075, 0.0000)
Mg (0.3329, 0.1664, 0.5000)
Ni (0.3333, 0.6667, 0.5000)

***

Starting from the PBE geometry in the Materials Project, the powder diffractogram of Mg5Ni9P7 was calculated for a wavelength of 1.5418 Å.

The 10 most intense peaks (15 to 90 degrees two-theta), by angle:
2θ 19.11, rel. 228, (1 1 0); 2θ 22.11, rel. 125, (2 0 0); 2θ 38.59, rel. 1000, (1 2 1); 2θ 45.09, rel. 128, (4 0 0); 2θ 47.83, rel. 287, (3 1 1); 2θ 49.40, rel. 182, (2 3 0); 2θ 50.13, rel. 227, (0 0 2); 2θ 51.96, rel. 237, (4 0 1); 2θ 52.11, rel. 214, (4 1 0); 2θ 75.22, rel. 135, (4 1 2)

Crystal structure
Unit cell a=9.2866 b=9.2866 c=3.6395 alpha=90.00 beta=90.00 gamma=120.00
Space group P-6 (No. 174)
Unique sites:
Mg (0.0000, 0.0000, 0.0000)
Mg (0.1071, 0.5623, 0.5000)
Mg (0.6667, 0.3333, 0.5000)
Ni (0.1711, 0.3756, 0.0000)
Ni (0.2784, 0.0577, 0.5000)
Ni (0.4050, 0.3036, 0.0000)
P (0.0447, 0.8032, 0.5000)
P (0.3333, 0.6667, 0.0000)
P (0.4467, 0.0906, 0.0000)